Entry 1:
Diffraction record for HoAl4. The X-ray powder pattern is theoretical, not measured: it uses a crystal structure in Alexandria, relaxed with GGA-PBE and copper Kα.
Peak positions follow from Bragg's law for the DFT cell and can differ from measured ones.

Top 10 peaks for 10 to 80 degrees two-theta, most intense first:
- d 3.185, I 100, hkl 1 1 2
- d 2.501, I 82, hkl 1 2 1
- d 2.334, I 63, hkl 1 0 5
- d 5.677, I 50, hkl 0 1 1
- d 3.695, I 48, hkl 0 1 3
- d 2.310, I 44, hkl 0 2 4
- d 4.191, I 43, hkl 1 0 1
- d 2.200, I 29, hkl 2 0 0
- d 1.593, I 28, hkl 2 2 4
- d 1.295, I 26, hkl 3 0 5

Crystal structure
```
data_HoAl4
_chemical_formula_sum 'Ho4 Al16'
_cell_length_a 4.400
_cell_length_b 6.232
_cell_length_c 13.763
_cell_angle_alpha 90.00
_cell_angle_beta 90.00
_cell_angle_gamma 90.00
_symmetry_space_group_name_H-M 'I m m a'
_symmetry_Int_Tables_number 74
_symmetry_space_group_name_Hall '-I 2b 2'
loop_
_atom_site_label
_atom_site_type_symbol
_atom_site_fract_x
_atom_site_fract_y
_atom_site_fract_z
Ho1 Ho 0.000 0.250 0.112
Al1 Al 0.000 0.000 0.500
Al2 Al 0.000 0.032 0.698
Al3 Al 0.000 0.250 0.889
```

***

Entry 2:
Diffraction record for Ho3Al2In3. The X-ray powder pattern is theoretical, not measured: it uses a crystal structure in Alexandria, relaxed with GGA-PBE and copper Kα.
Peak positions follow from Bragg's law for the DFT cell and can differ from measured ones.

Top 10 peaks for 10 to 80 degrees two-theta, most intense first:
- d 2.839, I 100, hkl 1 1 4
- d 2.511, I 47, hkl 1 3 3
- d 2.264, I 42, hkl 2 0 0
- d 2.878, I 31, hkl 1 3 0
- d 2.797, I 20, hkl 0 4 0
- d 2.700, I 18, hkl 0 2 5
- d 2.752, I 17, hkl 0 4 1
- d 4.049, I 17, hkl 1 1 1
- d 2.306, I 16, hkl 1 3 4
- d 2.829, I 16, hkl 1 3 1

Crystal structure
```
data_Ho3Al2In3
_chemical_formula_sum 'Ho12 Al8 In12'
_cell_length_a 4.528
_cell_length_b 11.186
_cell_length_c 15.418
_cell_angle_alpha 90.00
_cell_angle_beta 90.00
_cell_angle_gamma 90.00
_symmetry_space_group_name_H-M 'C m c m'
_symmetry_Int_Tables_number 63
_symmetry_space_group_name_Hall '-C 2c 2'
loop_
_atom_site_label
_atom_site_type_symbol
_atom_site_fract_x
_atom_site_fract_y
_atom_site_fract_z
Ho1 Ho 0.000 0.072 0.113
Ho2 Ho 0.000 0.346 0.250
Al1 Al 0.000 0.215 0.614
In1 In 0.000 0.375 0.037
In2 In 0.000 0.377 0.750
```